Theoretical XRD peak list
Compound: La4CuPt3
Radiation: copper Kα
Structure: a cell relaxed with PBE

Peak list (12 most intense, 2θ = 5–70°, in order of falling intensity)
two_theta	Rel. int.
30.73	100
38.45	85
39.22	32
32.10	32
37.74	22
45.44	21
61.55	18
51.54	17
32.92	13
56.71	13
15.89	13
65.85	11

Atomic structure:
Unit cell a=3.992 b=4.595 c=11.155 alpha=90.00 beta=90.00 gamma=90.00
Positions (direct):
1 La 0.000 0.000 0.000
2 La 0.000 0.500 0.268
3 La 0.500 0.000 0.493
4 La 0.500 0.500 0.766
5 Cu 0.000 0.000 0.708
6 Pt 0.000 0.500 0.553
7 Pt 0.500 0.000 0.225
8 Pt 0.500 0.500 0.037